[1]
For Ac4SmSe7, a structure optimized by DFT (PBE) gives the calculated X-ray diffraction stick pattern in this record (Cu Kα X-rays).
Intensities are scaled so that the largest is 100.

a = 7.5736 Å, b = 7.5736 Å, c = 12.8206 Å
α = 104.68°, β = 104.68°, γ = 33.05°
Sites, in units of the cell vectors:
Ac: 0.0000 0.0000 0.0000
Ac: 0.1944 0.1944 0.7670
Ac: 0.5901 0.5901 0.3759
Ac: 0.8907 0.8907 0.5656
Sm: 0.7757 0.7757 0.1464
Se: 0.1606 0.1606 0.2195
Se: 0.2295 0.2295 0.5206
Se: 0.3759 0.3759 0.0671
Se: 0.5520 0.5520 0.6208
Se: 0.6309 0.6309 0.9293
Se: 0.8499 0.8499 0.7855
Se: 0.9297 0.9297 0.3432

Top 10 peaks for 2θ from 10° to 80°, most intense first:
2theta	Rel. int.
21.5	100
21.9	67
29.3	66
27.8	59
30.4	56
41.9	44
37.7	43
28.2	43
41.9	36
32.4	32



[2]
For Sr2AgH6Au, a structure optimized by DFT (PBE) gives the calculated X-ray diffraction stick pattern in this record (Cu Kα X-rays).
Intensities are scaled so that the largest is 100.

a = 5.4080 Å, b = 5.4080 Å, c = 5.9300 Å
α = 117.82°, β = 117.82°, γ = 88.58°
Sites, in units of the cell vectors:
Sr: 0.2500 0.7500 0.0000
Sr: 0.7500 0.2500 0.0000
Ag: 0.0001 0.0001 0.5005
H: 0.1558 0.1558 0.3595
H: 0.1993 0.1993 0.8989
H: 0.2178 0.6556 0.3739
H: 0.6556 0.2178 0.3739
H: 0.7036 0.7036 0.3606
H: 0.7121 0.7121 0.9245
Au: 0.5210 0.5210 0.5409

Top 10 peaks for 2θ from 10° to 80°, most intense first:
2theta	Rel. int.
30.5	100
30.9	96
33.1	81
53.0	40
57.3	33
58.1	32
40.1	23
19.2	19
47.0	19
48.2	15



[3]
For Ag5I2Br12, a structure optimized by DFT (PBE) gives the calculated X-ray diffraction stick pattern in this record (Cu Kα X-rays).
Intensities are scaled so that the largest is 100.

a = 8.8007 Å, b = 8.8639 Å, c = 9.1394 Å
α = 81.22°, β = 67.58°, γ = 89.80°
Sites, in units of the cell vectors:
Ag: 0.0000 0.0000 0.0000
Ag: 0.1868 0.6741 0.3680
Ag: 0.3224 0.1272 0.6022
Ag: 0.6776 0.8728 0.3978
Ag: 0.8132 0.3259 0.6320
I: 0.3227 0.3202 0.1430
I: 0.6773 0.6798 0.8570
Br: 0.0012 0.9071 0.2946
Br: 0.0207 0.4429 0.2910
Br: 0.2230 0.2444 0.9129
Br: 0.3678 0.8835 0.4319
Br: 0.3800 0.7810 0.9979
Br: 0.3999 0.4266 0.3795
Br: 0.6001 0.5734 0.6205
Br: 0.6200 0.2190 0.0021
Br: 0.6322 0.1165 0.5681
Br: 0.7770 0.7556 0.0871
Br: 0.9793 0.5571 0.7090
Br: 0.9988 0.0929 0.7054

Top 10 peaks for 2θ from 10° to 80°, most intense first:
2theta	Rel. int.
29.1	100
24.5	85
16.4	73
25.1	59
14.9	56
40.2	51
41.3	40
33.1	38
22.6	38
30.1	35